# 1
Structure and calculated powder diffractogram of Ti3Sb2P6O24 (the GGA-PBE geometry in the Materials Project; Cu Kα (weighted mean of Kα1 and Kα2)).

```
Ti3Sb2P6O24
1.0
4.3583 2.5163 7.2281
-4.3583 2.5163 7.2281
0.0000 -5.0326 7.2281
Ti Sb P O
3 2 6 24
Direct
0.0000 0.0000 0.0000
0.2126 0.2126 0.2126
0.5186 0.5186 0.5186
0.3603 0.3603 0.3603
0.8311 0.8311 0.8311
0.1221 0.8182 0.3895
0.3310 0.6144 0.9155
0.3895 0.1221 0.8182
0.6144 0.9155 0.3310
0.8182 0.3895 0.1221
0.9155 0.3310 0.6144
0.0700 0.8555 0.2302
0.1015 0.2825 0.4432
0.1376 0.7786 0.9262
0.1865 0.9748 0.3449
0.2302 0.0700 0.8555
0.2825 0.4432 0.1015
0.2912 0.6301 0.4128
0.3449 0.1865 0.9748
0.3721 0.5653 0.7437
0.4128 0.2912 0.6301
0.4432 0.1015 0.2825
0.4844 0.6433 0.9105
0.5653 0.7437 0.3721
0.5754 0.9564 0.8078
0.6301 0.4128 0.2912
0.6433 0.9105 0.4844
0.7437 0.3721 0.5653
0.7786 0.9262 0.1376
0.8078 0.5754 0.9564
0.8555 0.2302 0.0700
0.9105 0.4844 0.6433
0.9262 0.1376 0.7786
0.9564 0.8078 0.5754
0.9748 0.3449 0.1865
```

Peak list (10 most intense, 2θ from 15° to 90°, sorted by position)
two_theta, intensity
20.38, 996
23.84, 1000
24.98, 457
32.18, 838
32.45, 336
35.68, 405
46.20, 194
48.80, 326
55.80, 300
61.90, 207



# 2
Structure and calculated powder diffractogram of BiPPb4O8 (the GGA-PBE geometry in the Materials Project; Cu Kα (weighted mean of Kα1 and Kα2)).

```
BiPPb4O8
1.0
6.4444 0.0000 0.0000
-0.0191 7.3510 0.0000
-2.9200 -1.7956 10.5099
Bi P Pb O
2 2 8 16
Direct
0.1912 0.2757 0.1039
0.8088 0.7243 0.8961
0.2586 0.7941 0.1840
0.7414 0.2059 0.8160
0.2254 0.6169 0.4658
0.2272 0.1204 0.4692
0.2668 0.4537 0.7980
0.2688 0.9427 0.7953
0.7312 0.0573 0.2047
0.7332 0.5463 0.2020
0.7728 0.8796 0.5308
0.7746 0.3831 0.5342
0.0188 0.3102 0.2426
0.0981 0.8137 0.2688
0.1411 0.3958 0.5845
0.1477 0.8952 0.5803
0.2203 0.6016 0.0949
0.2230 0.9459 0.0972
0.4865 0.6924 0.7714
0.4948 0.8139 0.2712
0.5052 0.1861 0.7288
0.5135 0.3076 0.2286
0.7770 0.0541 0.9028
0.7797 0.3984 0.9051
0.8523 0.1048 0.4197
0.8589 0.6042 0.4155
0.9019 0.1863 0.7312
0.9812 0.6898 0.7574
```

Peak list (10 most intense, 2θ from 15° to 90°, sorted by position)
two_theta, intensity
25.42, 540
25.63, 344
28.76, 629
29.29, 641
29.41, 649
32.60, 1000
33.02, 369
49.61, 209
50.16, 188
58.35, 172